This entry pairs a crystal structure of MgSbF5 with its simulated powder diffraction line list. Radiation: Cu Kα, 1.54184 Å. Structure: a crystal structure in the Materials Project, relaxed with PBE.

Structure:
```
data_MgSbF5
_chemical_formula_sum 'Mg4 Sb4 F20'
_space_group_name_H-M_alt 'C 1 2/c 1'
_space_group_IT_number 15
_cell_length_a 9.226
_cell_length_b 6.630
_cell_length_c 8.276
_cell_angle_alpha 90.00
_cell_angle_beta 117.36
_cell_angle_gamma 90.00
loop_
_space_group_symop_operation_xyz
'x,y,z'
'-x,-y,-z'
'-x,y,-z+1/2'
'x,-y,z+1/2'
'x+1/2,y+1/2,z'
'-x+1/2,-y+1/2,-z'
'-x+1/2,y+1/2,-z+1/2'
'x+1/2,-y+1/2,z+1/2'
loop_
_atom_site_label
_atom_site_type_symbol
_atom_site_fract_x
_atom_site_fract_y
_atom_site_fract_z
_atom_site_occupancy
Mg1 Mg 0.000 0.012 0.250 1
Sb1 Sb 0.000 0.500 0.000 1
F1 F 0.000 0.336 0.250 1
F2 F 0.014 0.187 0.933 1
F3 F 0.238 0.026 0.362 1
```

Largest 10 diffraction maxima, in order of rising 2θ, 5° ≤ 2θ ≤ 70°:
(hkl)  two_theta  I_rel
1 1 0  17.20  66
2 0 0  21.69  74
2 0 -2  23.97  19
0 0 2  24.22  18
1 1 -2  25.37  100
0 2 0  26.90  33
4 0 0  44.21  22
1 3 -2  46.59  32
3 1 2  51.87  23
2 2 -4  52.09  27

=====

This entry pairs a crystal structure of ScBiO3 with its simulated powder diffraction line list. Radiation: Cu Kα, 1.54184 Å. Structure: a crystal structure in the Materials Project, relaxed with PBE.

Structure:
```
data_ScBiO3
_chemical_formula_sum 'Sc1 Bi1 O3'
_space_group_name_H-M_alt 'P m -3 m'
_space_group_IT_number 221
_space_group_name_Hall '-P 4 2 3'
_cell_length_a 4.076
_cell_length_b 4.076
_cell_length_c 4.076
_cell_angle_alpha 90.00
_cell_angle_beta 90.00
_cell_angle_gamma 90.00
loop_
_atom_site_label
_atom_site_type_symbol
_atom_site_fract_x
_atom_site_fract_y
_atom_site_fract_z
_atom_site_occupancy
Sc1 Sc 0.000 0.000 0.000 1
Bi1 Bi 0.500 0.500 0.500 1
O1 O 0.000 0.000 0.500 1
```

Largest 8 diffraction maxima, in order of rising 2θ, 5° ≤ 2θ ≤ 70°:
(hkl)  two_theta  I_rel
1 0 0  21.81  42
1 1 0  31.03  100
1 1 1  38.25  31
2 0 0  44.46  30
2 1 0  50.04  22
2 1 1  55.20  41
2 2 0  64.69  19
3 0 0  69.14  12

=====

This entry pairs a crystal structure of Cs with its simulated powder diffraction line list. Radiation: Cu Kα, 1.54184 Å. Structure: a crystal structure in the Materials Project, relaxed with PBE.

Structure:
```
data_Cs
_chemical_formula_sum 'Cs16'
_space_group_name_H-M_alt 'C m c e'
_space_group_IT_number 64
_space_group_name_Hall '-C 2ac 2'
_cell_length_a 17.370
_cell_length_b 10.437
_cell_length_c 10.442
_cell_angle_alpha 90.00
_cell_angle_beta 90.00
_cell_angle_gamma 90.00
loop_
_atom_site_label
_atom_site_type_symbol
_atom_site_fract_x
_atom_site_fract_y
_atom_site_fract_z
_atom_site_occupancy
Cs1 Cs 0.000 0.176 0.176 1
Cs2 Cs 0.217 0.000 0.500 1
```

Largest 10 diffraction maxima, in order of rising 2θ, 5° ≤ 2θ ≤ 70°:
(hkl)  two_theta  I_rel
3 1 1  19.48  28
1 1 2  19.69  23
2 0 2  19.85  100
4 0 0  20.45  28
2 2 1  21.61  18
0 2 2  24.11  25
1 1 3  27.50  17
4 2 2  31.82  14
5 1 3  37.59  29
3 3 3  39.81  17

=====

This entry pairs a crystal structure of LaS2 with its simulated powder diffraction line list. Radiation: Cu Kα, 1.54184 Å. Structure: a crystal structure in the Materials Project, relaxed with PBE.

Structure:
```
data_LaS2
_chemical_formula_sum 'La8 S16'
_space_group_name_H-M_alt 'P n m a'
_space_group_IT_number 62
_cell_length_a 8.172
_cell_length_b 16.408
_cell_length_c 4.159
_cell_angle_alpha 90.00
_cell_angle_beta 90.00
_cell_angle_gamma 90.00
loop_
_space_group_symop_operation_xyz
'x,y,z'
'-x,-y,-z'
'-x+1/2,-y,z+1/2'
'x+1/2,y,-z+1/2'
'x+1/2,-y+1/2,-z+1/2'
'-x+1/2,y+1/2,z+1/2'
'-x,y+1/2,-z'
'x,-y+1/2,z'
loop_
_atom_site_label
_atom_site_type_symbol
_atom_site_fract_x
_atom_site_fract_y
_atom_site_fract_z
_atom_site_occupancy
La1 La 0.130 0.111 0.217 1
S1 S 0.100 0.250 0.660 1
S2 S 0.107 0.750 0.644 1
S3 S 0.126 0.567 0.238 1
```

Largest 10 diffraction maxima, in order of rising 2θ, 5° ≤ 2θ ≤ 70°:
(hkl)  two_theta  I_rel
0 4 0  21.67  42
0 1 1  22.05  42
2 1 0  22.42  43
0 3 1  26.93  36
2 3 0  27.24  36
2 0 1  30.68  72
2 2 1  32.60  38
2 4 1  37.87  100
4 0 0  44.35  49
2 7 0  44.57  25